The following is a theoretical powder XRD pattern of SrTc2BiO8. It was derived from the GGA-PBE geometry in Alexandria, using Cu Kα X-rays.
Intensities are scaled so that the largest is 100.

Largest 8 diffraction maxima, by angle, 2θ from 10° to 90°:
d/Å	Position (°2θ)	I/Imax
3.576	24.9	100
2.725	32.9	50
2.369	38.0	35
2.167	41.7	26
1.696	54.1	24
1.573	58.7	15
1.517	61.1	20
1.495	62.1	16

Atomic structure:
```
12
Lattice="2.725 1.573 7.305 -2.725 1.573 7.305 0.000 -3.147 7.305" Properties=species:S:1:pos:R:3 pbc="T T T"
Sr 0.000 0.000 0.000
Tc 0.000 0.000 5.548
Tc 0.000 0.000 16.367
Bi 0.000 0.000 10.957
O -1.954 0.004 9.582
O -0.981 -1.690 12.333
O 0.000 0.000 7.326
O 0.973 -1.694 9.582
O -0.973 1.694 12.333
O 0.000 0.000 14.588
O 0.981 1.690 9.582
O 1.954 -0.004 12.333
```